AlSeS2N2Cl5: computed X-ray diffraction stick pattern (Cu Kα (λ = 1.5418 Å)), based on the PBE geometry in the Materials Project.
Lines closer than 0.1° are merged.

Structure:
```
data_AlSeS2N2Cl5
_cell_length_a 9.5941
_cell_length_b 11.0682
_cell_length_c 14.8864
_cell_angle_alpha 90.00
_cell_angle_beta 128.09
_cell_angle_gamma 90.00
_space_group_name_H-M_alt 'P 1 21/c 1'
_space_group_IT_number 14
_space_group_name_Hall '-P 2ybc'
loop_
_atom_site_label
_atom_site_type_symbol
_atom_site_fract_x
_atom_site_fract_y
_atom_site_fract_z
_atom_site_occupancy
Al1 Al 0.2166 0.1398 0.1913 1
Se1 Se 0.3258 0.7176 0.8889 1
S1 S 0.1520 0.7484 0.1909 1
S2 S 0.3215 0.5383 0.3132 1
N1 N 0.2015 0.6092 0.1977 1
N2 N 0.3759 0.6258 0.4154 1
Cl1 Cl 0.0297 0.2131 0.6027 1
Cl2 Cl 0.1163 0.0216 0.2577 1
Cl3 Cl 0.2453 0.0391 0.0807 1
Cl4 Cl 0.4304 0.1337 0.5754 1
Cl5 Cl 0.4701 0.2125 0.3317 1
```

The 10 most intense peaks (2θ from 10° to 90°), by angle:
| 2theta | d/Å | intensity |
| --- | --- | --- |
| 12.17 | 7.275 | 41 |
| 14.20 | 6.238 | 49 |
| 16.02 | 5.534 | 31 |
| 17.13 | 5.177 | 100 |
| 18.51 | 4.794 | 87 |
| 25.31 | 3.519 | 38 |
| 25.71 | 3.465 | 36 |
| 29.08 | 3.071 | 36 |
| 29.81 | 2.998 | 63 |
| 31.60 | 2.831 | 31 |